For Nb2Zn2SnO8, a crystal structure in the Materials Project, relaxed with GGA-PBE gives the theoretical powder XRD pattern in this record (Cu Kα (λ = 1.5418 Å)).
Neutral-atom scattering factors, no anomalous dispersion.

Principal peaks in the range 10 to 90 degrees two-theta, by angle:
| Position (°2θ) | I (rel.) | (hkl) |
| --- | --- | --- |
| 25.35 | 61 | 3 1 -1 |
| 25.84 | 51 | 5 1 0 |
| 30.56 | 70 | 5 1 -1 |
| 30.95 | 100 | 5 1 1 |
| 33.15 | 58 | 0 0 2 |
| 33.90 | 70 | 0 2 1 |
| 48.75 | 37 | 8 2 -1 |
| 50.10 | 29 | 5 3 0 |

Cell and atoms:
abc: 20.9642 6.0640 5.4053
angles: 90.00 90.96 90.00
Space group C2/c (No. 15)
Inequivalent atoms, fractional coordinates:
Nb  0.1258  0.1617  0.2280
Zn  0.2213  0.3489  0.7300
Sn  0.0000  0.3098  0.7500
O  0.0676  0.3722  0.1205
O  0.0814  0.0909  0.5422
O  0.1833  0.1119  0.9284
O  0.1990  0.3525  0.3628